Structure and calculated XRD peak list of Cu3Ag7 (a DFT-relaxed cell (PBE, OQMD); copper Kα).
Kinematic intensities with the Lorentz-polarization factor, no thermal factor.

Structural model:
abc: 7.0536 2.8739 8.1205
angles: 90.00 101.20 90.00
Space group P2/m (No. 10)
Symmetry-distinct sites (fractional):
1 Cu 0.0000 0.0000 0.0000 (multiplicity 1)
2 Cu 0.2514 0.5000 0.8983 (multiplicity 2)
3 Ag 0.1241 0.5000 0.2821 (multiplicity 2)
4 Ag 0.1893 0.0000 0.6071 (multiplicity 2)
5 Ag 0.4343 0.0000 0.1657 (multiplicity 2)
6 Ag 0.5000 0.5000 0.5000 (multiplicity 1)

Main lines, sorted by position (2θ from 5° to 70°):
- 2θ 34.8, intensity 15
- 2θ 38.5, intensity 60
- 2θ 38.6, intensity 58
- 2θ 39.1, intensity 13
- 2θ 39.4, intensity 100
- 2θ 43.8, intensity 78
- 2θ 48.1, intensity 17
- 2θ 63.2, intensity 13
- 2θ 64.9, intensity 12
- 2θ 67.2, intensity 16

Structure and calculated XRD peak list of Cu5Ag3 (a DFT-relaxed cell (PBE, OQMD); copper Kα).
Kinematic intensities with the Lorentz-polarization factor, no thermal factor.

Structural model:
abc: 5.5131 7.4675 11.0343
angles: 90.00 90.00 90.00
Space group Fmmm (No. 69)
Symmetry-distinct sites (fractional):
1 Cu 0.0000 0.0000 0.0000 (multiplicity 4)
2 Cu 0.2500 0.2500 0.1188 (multiplicity 16)
3 Ag 0.0000 0.0000 0.2438 (multiplicity 8)
4 Ag 0.0000 0.0000 0.5000 (multiplicity 4)

Main lines, sorted by position (2θ from 5° to 70°):
- 2θ 21.6, intensity 1
- 2θ 23.8, intensity 4
- 2θ 31.6, intensity 2
- 2θ 32.5, intensity 3
- 2θ 40.7, intensity 100
- 2θ 46.6, intensity 33
- 2θ 48.8, intensity 14
- 2θ 53.0, intensity 2
- 2θ 68.0, intensity 10
- 2θ 69.7, intensity 18

Structure and calculated XRD peak list of Cu3Ag7 (a DFT-relaxed cell (PBE, OQMD); copper Kα).
Kinematic intensities with the Lorentz-polarization factor, no thermal factor.

Structural model:
abc: 6.9580 2.8634 8.3206
angles: 90.00 103.33 90.00
Space group Pm (No. 6)
Symmetry-distinct sites (fractional):
1 Cu 0.0000 0.0000 0.0000 (multiplicity 1)
2 Cu 0.0850 0.5000 0.2754 (multiplicity 1)
3 Cu 0.8235 0.0000 0.3874 (multiplicity 1)
4 Ag 0.2028 0.0000 0.5635 (multiplicity 1)
5 Ag 0.2870 0.5000 0.8863 (multiplicity 1)
6 Ag 0.3821 0.0000 0.1892 (multiplicity 1)
7 Ag 0.5265 0.5000 0.4824 (multiplicity 1)
8 Ag 0.6035 0.0000 0.7962 (multiplicity 1)
9 Ag 0.7112 0.5000 0.1037 (multiplicity 1)
10 Ag 0.9072 0.5000 0.6898 (multiplicity 1)

Main lines, sorted by position (2θ from 5° to 70°):
- 2θ 36.8, intensity 3
- 2θ 38.7, intensity 50
- 2θ 38.9, intensity 48
- 2θ 39.1, intensity 100
- 2θ 44.5, intensity 67
- 2θ 46.7, intensity 27
- 2θ 64.4, intensity 9
- 2θ 65.2, intensity 10
- 2θ 66.3, intensity 17
- 2θ 66.6, intensity 17

Structure and calculated XRD peak list of Cu4Ag5 (a DFT-relaxed cell (PBE, OQMD); copper Kα).
Kinematic intensities with the Lorentz-polarization factor, no thermal factor.

Structural model:
abc: 2.8129 2.8129 20.1264
angles: 90.00 90.00 120.00
Space group P3m1 (No. 156)
Symmetry-distinct sites (fractional):
1 Cu 0.0000 0.0000 0.0000 (multiplicity 1)
2 Cu 0.0000 0.0000 0.3149 (multiplicity 1)
3 Cu 0.3333 0.6667 0.2189 (multiplicity 1)
4 Cu 0.6667 0.3333 0.4111 (multiplicity 1)
5 Ag 0.0000 0.0000 0.6438 (multiplicity 1)
6 Ag 0.3333 0.6667 0.5207 (multiplicity 1)
7 Ag 0.3333 0.6667 0.8907 (multiplicity 1)
8 Ag 0.6667 0.3333 0.1094 (multiplicity 1)
9 Ag 0.6667 0.3333 0.7669 (multiplicity 1)

Main lines, sorted by position (2θ from 5° to 70°):
- 2θ 35.7, intensity 12
- 2θ 38.0, intensity 7
- 2θ 39.3, intensity 100
- 2θ 40.3, intensity 18
- 2θ 43.4, intensity 12
- 2θ 46.0, intensity 51
- 2θ 49.0, intensity 4
- 2θ 63.6, intensity 9
- 2θ 66.5, intensity 21
- 2θ 67.8, intensity 7

Structure and calculated XRD peak list of Cu3Ag7 (a DFT-relaxed cell (PBE, OQMD); copper Kα).
Kinematic intensities with the Lorentz-polarization factor, no thermal factor.

Structural model:
abc: 12.1809 2.8806 9.4748
angles: 90.00 101.59 90.00
Space group C2/m (No. 12)
Symmetry-distinct sites (fractional):
1 Cu 0.0000 0.0000 0.0000 (multiplicity 2)
2 Cu 0.1004 0.5000 0.8132 (multiplicity 4)
3 Ag 0.0000 0.5000 0.5000 (multiplicity 2)
4 Ag 0.0883 0.0000 0.2898 (multiplicity 4)
5 Ag 0.1949 0.5000 0.0937 (multiplicity 4)
6 Ag 0.2013 0.0000 0.6100 (multiplicity 4)

Main lines, sorted by position (2θ from 5° to 70°):
- 2θ 19.2, intensity 5
- 2θ 38.7, intensity 100
- 2θ 38.7, intensity 49
- 2θ 39.0, intensity 46
- 2θ 44.7, intensity 63
- 2θ 45.9, intensity 29
- 2θ 64.7, intensity 10
- 2θ 65.3, intensity 8
- 2θ 65.7, intensity 19
- 2θ 66.2, intensity 17

Structure and calculated XRD peak list of Cu5Ag3 (a DFT-relaxed cell (PBE, OQMD); copper Kα).
Kinematic intensities with the Lorentz-polarization factor, no thermal factor.

Structural model:
abc: 4.6283 5.5204 4.7292
angles: 90.00 109.47 90.00
Space group P2/m (No. 10)
Symmetry-distinct sites (fractional):
1 Cu 0.0000 0.0000 0.0000 (multiplicity 1)
2 Cu 0.0000 0.2353 0.5000 (multiplicity 2)
3 Cu 0.0000 0.5000 0.0000 (multiplicity 1)
4 Cu 0.5000 0.0000 0.5000 (multiplicity 1)
5 Ag 0.5000 0.2451 0.0000 (multiplicity 2)
6 Ag 0.5000 0.5000 0.5000 (multiplicity 1)

Main lines, sorted by position (2θ from 5° to 70°):
- 2θ 20.4, intensity 11
- 2θ 40.3, intensity 100
- 2θ 40.5, intensity 50
- 2θ 41.4, intensity 47
- 2θ 47.1, intensity 63
- 2θ 47.6, intensity 30
- 2θ 67.9, intensity 9
- 2θ 68.6, intensity 19
- 2θ 69.6, intensity 9
- 2θ 69.8, intensity 18